For Ba6IrO2, DFT lattice parameters and positions (GGA-PBE) gives the simulated powder XRD pattern in this record (Cu Kα).

Most intense lines, 2θ = 10–90°, in order of rising 2θ:
d/Å, intensity, index
6.713, 586, 2 0 -1
6.096, 424, 2 0 1
4.293, 244, 1 1 0
3.747, 330, 2 0 -3
3.464, 322, 1 1 2
3.422, 480, 2 0 3
3.277, 1000, 3 1 -1
2.524, 265, 1 1 -4
2.238, 667, 0 2 0
1.874, 250, 2 2 3

Cell and atoms:
Unit cell a=15.0586 b=4.4815 c=12.2766 alpha=90.00 beta=96.21 gamma=90.00
Space group C2/m (No. 12)
One atom of each set of equivalent atoms:
Ba  0.1033  0.0000  0.2420
Ba  0.1212  0.5000  0.9331
Ba  0.1812  0.0000  0.5884
Ir  0.0000  0.0000  0.0000
O  0.2294  0.0000  0.3955